Starting from a cell relaxed with PBE, the powder X-ray diffraction pattern of CsYRhCl6 was calculated for CuKα.
Peak positions follow from Bragg's law for the DFT cell and can differ from measured ones.

Cell lengths 6.5496, 6.5542, 8.0413 Å; angles 91.66, 91.84, 117.68 degrees
Space group P1 (No. 1)
Symmetry-distinct sites (fractional):
Cs 0.0000 0.0000 0.0000 [1 per cell]
Y 0.6621 0.3371 0.4998 [1 per cell]
Rh 0.3169 0.6829 0.4999 [1 per cell]
Cl 0.3283 0.3878 0.3267 [1 per cell]
Cl 0.3404 0.0008 0.6708 [1 per cell]
Cl 0.6055 0.0096 0.2839 [1 per cell]
Cl 0.6127 0.6708 0.6729 [1 per cell]
Cl 0.9911 0.3931 0.7150 [1 per cell]
Cl 0.9983 0.6601 0.3294 [1 per cell]

Peak list (12 most intense, 2θ = 10–90°, by angle)
(0 0 1), 2θ 11.02, intensity 41
(0 1 -1), 2θ 18.43, intensity 55
(-1 1 1), 2θ 19.32, intensity 100
(1 1 0), 2θ 26.34, intensity 11
(2 -1 0), 2θ 27.26, intensity 20
(2 -1 1), 2θ 29.78, intensity 12
(0 2 -1), 2θ 32.32, intensity 14
(1 1 -2), 2θ 33.62, intensity 31
(1 -2 2), 2θ 34.88, intensity 14
(-1 2 2), 2θ 35.90, intensity 46
(3 0 0), 2θ 47.05, intensity 21
(-2 1 4), 2θ 52.83, intensity 13